Starting from the GGA+U geometry in Alexandria, the XRD peak list of Co6O7F5 was calculated for Cu Kα (λ = 1.5418 Å).
Intensities are scaled so that the largest is 100.

Most intense lines, 10° ≤ 2θ ≤ 90°, sorted by position:
d 3.319, I = 90
d 3.095, I = 86
d 2.491, I = 100
d 2.264, I = 17
d 1.711, I = 26
d 1.705, I = 28
d 1.645, I = 27
d 1.643, I = 25
d 1.348, I = 16
d 1.345, I = 28

Atomic structure:
```
data_Co6O7F5
_symmetry_space_group_name_H-M 'C 1 2 1'
_symmetry_Int_Tables_number 5
_cell_length_a 8.942
_cell_length_b 6.191
_cell_length_c 7.267
_cell_angle_alpha 90.00
_cell_angle_beta 113.92
_cell_angle_gamma 90.00
loop_
_symmetry_equiv_pos_as_xyz
'x,y,z'
'-x,y,-z'
'x+1/2,y+1/2,z'
'-x+1/2,y+1/2,-z'
loop_
_atom_site_label
_atom_site_type_symbol
_atom_site_fract_x
_atom_site_fract_y
_atom_site_fract_z
_atom_site_occupancy
Co1 Co 0.000 0.000 0.000 1
Co2 Co 0.000 0.030 0.500 1
Co3 Co 0.163 0.528 0.678 1
Co4 Co 0.184 0.529 0.153 1
O1 O 0.000 0.707 0.000 1
O2 O 0.159 0.838 0.672 1
O3 O 0.161 0.222 0.670 1
O4 O 0.226 0.019 0.039 1
F1 F 0.000 0.319 0.000 1
F2 F 0.077 0.526 0.374 1
F3 F 0.104 0.033 0.303 1
```

Starting from the GGA+U geometry in Alexandria, the XRD peak list of Co3OF5 was calculated for Cu Kα (λ = 1.5418 Å).
Intensities are scaled so that the largest is 100.

Most intense lines, 10° ≤ 2θ ≤ 90°, sorted by position:
d 3.376, I = 91
d 3.347, I = 88
d 2.611, I = 100
d 1.763, I = 30
d 1.760, I = 28
d 1.754, I = 56
d 1.674, I = 16
d 1.562, I = 18
d 1.416, I = 30
d 1.411, I = 20

Atomic structure:
```
data_Co3OF5
_symmetry_space_group_name_H-M 'P 1 m 1'
_symmetry_Int_Tables_number 6
_cell_length_a 6.694
_cell_length_b 3.124
_cell_length_c 10.652
_cell_angle_alpha 90.00
_cell_angle_beta 108.06
_cell_angle_gamma 90.00
loop_
_symmetry_equiv_pos_as_xyz
'x,y,z'
'x,-y,z'
loop_
_atom_site_label
_atom_site_type_symbol
_atom_site_fract_x
_atom_site_fract_y
_atom_site_fract_z
_atom_site_occupancy
Co1 Co 0.000 0.000 0.000 1
Co2 Co 0.145 0.500 0.338 1
Co3 Co 0.305 0.000 0.642 1
Co4 Co 0.455 0.500 0.989 1
Co5 Co 0.641 0.000 0.325 1
Co6 Co 0.815 0.500 0.664 1
O1 O 0.250 0.500 0.535 1
O2 O 0.273 0.000 0.991 1
F1 F 0.014 0.000 0.667 1
F2 F 0.042 0.500 0.131 1
F3 F 0.341 0.000 0.331 1
F4 F 0.381 0.500 0.785 1
F5 F 0.573 0.500 0.195 1
F6 F 0.618 0.000 0.661 1
F7 F 0.681 0.000 0.996 1
F8 F 0.716 0.500 0.459 1
F9 F 0.908 0.500 0.868 1
F10 F 0.944 0.000 0.326 1
```

Starting from the GGA+U geometry in Alexandria, the XRD peak list of Co3OF5 was calculated for Cu Kα (λ = 1.5418 Å).
Intensities are scaled so that the largest is 100.

Most intense lines, 10° ≤ 2θ ≤ 90°, sorted by position:
d 3.333, I = 100
d 2.628, I = 58
d 2.296, I = 19
d 1.755, I = 63
d 1.667, I = 18
d 1.583, I = 11
d 1.430, I = 13
d 1.409, I = 10
d 1.406, I = 11
d 1.148, I = 9

Atomic structure:
```
data_Co3OF5
_symmetry_space_group_name_H-M 'P 1 21 1'
_symmetry_Int_Tables_number 4
_cell_length_a 5.677
_cell_length_b 4.719
_cell_length_c 7.888
_cell_angle_alpha 90.00
_cell_angle_beta 92.69
_cell_angle_gamma 90.00
loop_
_symmetry_equiv_pos_as_xyz
'x,y,z'
'-x,y+1/2,-z'
loop_
_atom_site_label
_atom_site_type_symbol
_atom_site_fract_x
_atom_site_fract_y
_atom_site_fract_z
_atom_site_occupancy
Co1 Co 0.072 0.000 0.331 1
Co2 Co 0.254 0.508 0.989 1
Co3 Co 0.404 0.955 0.671 1
O1 O 0.216 0.693 0.765 1
F1 F 0.045 0.792 0.102 1
F2 F 0.126 0.184 0.563 1
F3 F 0.286 0.295 0.227 1
F4 F 0.387 0.777 0.429 1
F5 F 0.453 0.188 0.896 1
```

Starting from the GGA+U geometry in Alexandria, the XRD peak list of Co3O4F2 was calculated for Cu Kα (λ = 1.5418 Å).
Intensities are scaled so that the largest is 100.

Most intense lines, 10° ≤ 2θ ≤ 90°, sorted by position:
d 3.463, I = 100
d 3.042, I = 81
d 2.469, I = 91
d 2.285, I = 19
d 2.238, I = 17
d 1.738, I = 54
d 1.622, I = 22
d 1.621, I = 22
d 1.352, I = 32
d 1.350, I = 14

Atomic structure:
```
data_Co3O4F2
_symmetry_space_group_name_H-M 'P 1'
_symmetry_Int_Tables_number 1
_cell_length_a 4.608
_cell_length_b 5.462
_cell_length_c 7.464
_cell_angle_alpha 84.30
_cell_angle_beta 85.47
_cell_angle_gamma 83.73
loop_
_symmetry_equiv_pos_as_xyz
'x,y,z'
loop_
_atom_site_label
_atom_site_type_symbol
_atom_site_fract_x
_atom_site_fract_y
_atom_site_fract_z
_atom_site_occupancy
Co1 Co 0.000 0.000 0.000 1
Co2 Co 0.001 0.322 0.671 1
Co3 Co 0.503 0.170 0.334 1
Co4 Co 0.549 0.532 0.015 1
Co5 Co 0.557 0.866 0.685 1
Co6 Co 0.996 0.669 0.328 1
O1 O 0.314 0.124 0.571 1
O2 O 0.319 0.478 0.229 1
O3 O 0.323 0.804 0.904 1
O4 O 0.700 0.872 0.439 1
O5 O 0.707 0.541 0.776 1
O6 O 0.712 0.221 0.103 1
O7 O 0.826 0.733 0.102 1
O8 O 0.828 0.039 0.783 1
F1 F 0.180 0.612 0.559 1
F2 F 0.197 0.981 0.222 1
F3 F 0.199 0.281 0.910 1
F4 F 0.806 0.363 0.434 1
```

Starting from the GGA+U geometry in Alexandria, the XRD peak list of Co6O5F7 was calculated for Cu Kα (λ = 1.5418 Å).
Intensities are scaled so that the largest is 100.

Most intense lines, 10° ≤ 2θ ≤ 90°, sorted by position:
d 3.257, I = 100
d 3.194, I = 94
d 2.573, I = 31
d 2.552, I = 29
d 2.530, I = 30
d 2.520, I = 27
d 1.690, I = 30
d 1.686, I = 26
d 1.532, I = 19
d 1.353, I = 17

Atomic structure:
```
data_Co6O5F7
_symmetry_space_group_name_H-M 'P 1'
_symmetry_Int_Tables_number 1
_cell_length_a 4.580
_cell_length_b 5.457
_cell_length_c 7.667
_cell_angle_alpha 87.25
_cell_angle_beta 88.30
_cell_angle_gamma 89.79
loop_
_symmetry_equiv_pos_as_xyz
'x,y,z'
loop_
_atom_site_label
_atom_site_type_symbol
_atom_site_fract_x
_atom_site_fract_y
_atom_site_fract_z
_atom_site_occupancy
Co1 Co 0.000 0.000 0.000 1
Co2 Co 0.005 0.344 0.685 1
Co3 Co 0.014 0.669 0.324 1
Co4 Co 0.461 0.212 0.356 1
Co5 Co 0.543 0.868 0.682 1
Co6 Co 0.553 0.518 0.006 1
O1 O 0.302 0.146 0.584 1
O2 O 0.355 0.483 0.230 1
O3 O 0.716 0.550 0.776 1
O4 O 0.819 0.053 0.788 1
O5 O 0.823 0.718 0.093 1
F1 F 0.202 0.986 0.222 1
F2 F 0.209 0.641 0.575 1
F3 F 0.225 0.300 0.925 1
F4 F 0.295 0.809 0.899 1
F5 F 0.698 0.890 0.434 1
F6 F 0.725 0.193 0.112 1
F7 F 0.817 0.375 0.443 1
```

Starting from the GGA+U geometry in Alexandria, the XRD peak list of Co2O3F was calculated for Cu Kα (λ = 1.5418 Å).
Intensities are scaled so that the largest is 100.

Most intense lines, 10° ≤ 2θ ≤ 90°, sorted by position:
d 3.175, I = 77
d 3.024, I = 80
d 2.453, I = 100
d 2.190, I = 15
d 2.165, I = 13
d 1.656, I = 46
d 1.612, I = 47
d 1.481, I = 15
d 1.310, I = 15
d 1.309, I = 15

Atomic structure:
```
data_Co2O3F
_symmetry_space_group_name_H-M 'C 1 2 1'
_symmetry_Int_Tables_number 5
_cell_length_a 8.458
_cell_length_b 6.349
_cell_length_c 8.473
_cell_angle_alpha 90.00
_cell_angle_beta 91.21
_cell_angle_gamma 90.00
loop_
_symmetry_equiv_pos_as_xyz
'x,y,z'
'-x,y,-z'
'x+1/2,y+1/2,z'
'-x+1/2,y+1/2,-z'
loop_
_atom_site_label
_atom_site_type_symbol
_atom_site_fract_x
_atom_site_fract_y
_atom_site_fract_z
_atom_site_occupancy
Co1 Co 0.000 0.000 0.000 1
Co2 Co 0.000 0.452 0.500 1
Co3 Co 0.125 0.465 0.126 1
Co4 Co 0.125 0.983 0.625 1
Co5 Co 0.250 0.005 0.249 1
O1 O 0.000 0.172 0.500 1
O2 O 0.000 0.280 0.000 1
O3 O 0.027 0.477 0.723 1
O4 O 0.028 0.989 0.221 1
O5 O 0.222 0.478 0.529 1
O6 O 0.222 0.989 0.026 1
O7 O 0.249 0.787 0.750 1
F1 F 0.000 0.678 0.000 1
F2 F 0.000 0.761 0.500 1
F3 F 0.245 0.695 0.246 1
```

Starting from the GGA+U geometry in Alexandria, the XRD peak list of Co6O5F7 was calculated for Cu Kα (λ = 1.5418 Å).
Intensities are scaled so that the largest is 100.

Most intense lines, 10° ≤ 2θ ≤ 90°, sorted by position:
d 3.501, I = 100
d 3.148, I = 85
d 2.529, I = 92
d 2.341, I = 18
d 2.280, I = 14
d 1.769, I = 64
d 1.750, I = 20
d 1.671, I = 46
d 1.502, I = 15
d 1.385, I = 39

Atomic structure:
```
data_Co6O5F7
_symmetry_space_group_name_H-M 'C 1 2 1'
_symmetry_Int_Tables_number 5
_cell_length_a 9.227
_cell_length_b 6.295
_cell_length_c 7.619
_cell_angle_alpha 90.00
_cell_angle_beta 116.14
_cell_angle_gamma 90.00
loop_
_symmetry_equiv_pos_as_xyz
'x,y,z'
'-x,y,-z'
'x+1/2,y+1/2,z'
'-x+1/2,y+1/2,-z'
loop_
_atom_site_label
_atom_site_type_symbol
_atom_site_fract_x
_atom_site_fract_y
_atom_site_fract_z
_atom_site_occupancy
Co1 Co 0.000 0.000 0.000 1
Co2 Co 0.000 0.036 0.500 1
Co3 Co 0.164 0.535 0.665 1
Co4 Co 0.176 0.534 0.177 1
O1 O 0.000 0.716 0.000 1
O2 O 0.161 0.222 0.662 1
O3 O 0.161 0.849 0.659 1
F1 F 0.000 0.326 0.000 1
F2 F 0.065 0.533 0.367 1
F3 F 0.101 0.037 0.290 1
F4 F 0.229 0.030 0.034 1
```

Starting from the GGA+U geometry in Alexandria, the XRD peak list of Co6O7F5 was calculated for Cu Kα (λ = 1.5418 Å).
Intensities are scaled so that the largest is 100.

Most intense lines, 10° ≤ 2θ ≤ 90°, sorted by position:
d 3.403, I = 100
d 3.064, I = 83
d 2.494, I = 49
d 2.484, I = 48
d 2.277, I = 18
d 1.732, I = 28
d 1.728, I = 28
d 1.638, I = 23
d 1.630, I = 23
d 1.487, I = 22

Atomic structure:
```
data_Co6O7F5
_symmetry_space_group_name_H-M 'P 1'
_symmetry_Int_Tables_number 1
_cell_length_a 4.578
_cell_length_b 5.470
_cell_length_c 7.490
_cell_angle_alpha 85.44
_cell_angle_beta 86.17
_cell_angle_gamma 85.08
loop_
_symmetry_equiv_pos_as_xyz
'x,y,z'
loop_
_atom_site_label
_atom_site_type_symbol
_atom_site_fract_x
_atom_site_fract_y
_atom_site_fract_z
_atom_site_occupancy
Co1 Co 0.000 0.000 0.000 1
Co2 Co 0.007 0.659 0.348 1
Co3 Co 0.507 0.503 0.013 1
Co4 Co 0.540 0.842 0.686 1
Co5 Co 0.573 0.200 0.353 1
Co6 Co 0.984 0.341 0.684 1
O1 O 0.316 0.463 0.246 1
O2 O 0.326 0.806 0.909 1
O3 O 0.707 0.209 0.108 1
O4 O 0.713 0.543 0.785 1
O5 O 0.713 0.873 0.452 1
O6 O 0.826 0.060 0.777 1
O7 O 0.826 0.378 0.462 1
F1 F 0.183 0.952 0.236 1
F2 F 0.202 0.312 0.895 1
F3 F 0.207 0.618 0.592 1
F4 F 0.308 0.137 0.579 1
F5 F 0.810 0.698 0.112 1
```

Starting from the GGA+U geometry in Alexandria, the XRD peak list of Co6O7F5 was calculated for Cu Kα (λ = 1.5418 Å).
Intensities are scaled so that the largest is 100.

Most intense lines, 10° ≤ 2θ ≤ 90°, sorted by position:
d 3.541, I = 100
d 3.032, I = 80
d 2.485, I = 44
d 2.476, I = 44
d 2.303, I = 18
d 1.767, I = 28
d 1.757, I = 27
d 1.622, I = 32
d 1.363, I = 16
d 1.359, I = 16

Atomic structure:
```
data_Co6O7F5
_symmetry_space_group_name_H-M 'P 1'
_symmetry_Int_Tables_number 1
_cell_length_a 4.659
_cell_length_b 5.503
_cell_length_c 7.527
_cell_angle_alpha 83.79
_cell_angle_beta 84.32
_cell_angle_gamma 82.65
loop_
_symmetry_equiv_pos_as_xyz
'x,y,z'
loop_
_atom_site_label
_atom_site_type_symbol
_atom_site_fract_x
_atom_site_fract_y
_atom_site_fract_z
_atom_site_occupancy
Co1 Co 0.000 0.000 0.000 1
Co2 Co 0.001 0.666 0.331 1
Co3 Co 0.491 0.162 0.332 1
Co4 Co 0.499 0.834 0.667 1
Co5 Co 0.573 0.545 0.021 1
Co6 Co 0.992 0.331 0.666 1
O1 O 0.296 0.123 0.562 1
O2 O 0.317 0.802 0.901 1
O3 O 0.320 0.471 0.234 1
O4 O 0.692 0.871 0.436 1
O5 O 0.700 0.542 0.772 1
O6 O 0.706 0.212 0.106 1
O7 O 0.832 0.720 0.108 1
F1 F 0.171 0.288 0.882 1
F2 F 0.181 0.611 0.567 1
F3 F 0.208 0.972 0.234 1
F4 F 0.804 0.052 0.758 1
F5 F 0.808 0.366 0.450 1
```

Starting from the GGA+U geometry in Alexandria, the XRD peak list of Co3O4F2 was calculated for Cu Kα (λ = 1.5418 Å).
Intensities are scaled so that the largest is 100.

Most intense lines, 10° ≤ 2θ ≤ 90°, sorted by position:
d 3.428, I = 100
d 3.038, I = 82
d 2.470, I = 94
d 2.274, I = 19
d 2.232, I = 15
d 1.730, I = 57
d 1.714, I = 15
d 1.621, I = 45
d 1.471, I = 14
d 1.347, I = 35

Atomic structure:
```
data_Co3O4F2
_symmetry_space_group_name_H-M 'C 1 m 1'
_symmetry_Int_Tables_number 8
_cell_length_a 9.026
_cell_length_b 6.076
_cell_length_c 7.465
_cell_angle_alpha 90.00
_cell_angle_beta 116.13
_cell_angle_gamma 90.00
loop_
_symmetry_equiv_pos_as_xyz
'x,y,z'
'x,-y,z'
'x+1/2,y+1/2,z'
'x+1/2,-y+1/2,z'
loop_
_atom_site_label
_atom_site_type_symbol
_atom_site_fract_x
_atom_site_fract_y
_atom_site_fract_z
_atom_site_occupancy
Co1 Co 0.000 0.000 0.000 1
Co2 Co 0.001 0.000 0.519 1
Co3 Co 0.157 0.500 0.209 1
Co4 Co 0.178 0.500 0.675 1
Co5 Co 0.339 0.000 0.845 1
Co6 Co 0.347 0.000 0.342 1
O1 O 0.001 0.305 0.014 1
O2 O 0.075 0.500 0.398 1
O3 O 0.171 0.193 0.679 1
O4 O 0.340 0.306 0.348 1
O5 O 0.388 0.500 0.718 1
F1 F 0.113 0.000 0.298 1
F2 F 0.237 0.000 0.042 1
F3 F 0.260 0.500 0.959 1
F4 F 0.455 0.000 0.652 1
```

Starting from the GGA+U geometry in Alexandria, the XRD peak list of CoSb2S2O4F12 was calculated for Cu Kα (λ = 1.5418 Å).
Intensities are scaled so that the largest is 100.

Most intense lines, 10° ≤ 2θ ≤ 90°, sorted by position:
d 5.687, I = 100
d 4.363, I = 47
d 4.093, I = 86
d 4.063, I = 38
d 3.912, I = 32
d 3.708, I = 69
d 3.360, I = 29
d 2.987, I = 24
d 2.406, I = 33
d 2.363, I = 24

Atomic structure:
```
data_CoSb2S2O4F12
_symmetry_space_group_name_H-M 'P -1'
_symmetry_Int_Tables_number 2
_cell_length_a 5.176
_cell_length_b 7.923
_cell_length_c 8.738
_cell_angle_alpha 92.68
_cell_angle_beta 90.88
_cell_angle_gamma 98.61
loop_
_symmetry_equiv_pos_as_xyz
'x,y,z'
'-x,-y,-z'
loop_
_atom_site_label
_atom_site_type_symbol
_atom_site_fract_x
_atom_site_fract_y
_atom_site_fract_z
_atom_site_occupancy
Co1 Co 0.000 0.000 0.000 1
Sb1 Sb 0.461 0.763 0.241 1
S1 S 0.004 0.701 0.720 1
O1 O 0.095 0.804 0.860 1
O2 O 0.242 0.272 0.345 1
F1 F 0.204 0.909 0.179 1
F2 F 0.257 0.696 0.413 1
F3 F 0.268 0.584 0.113 1
F4 F 0.282 0.378 0.719 1
F5 F 0.343 0.156 0.941 1
F6 F 0.350 0.045 0.647 1
```